Starting from DFT lattice parameters and positions (PBE), the X-ray powder pattern of Ti2AgSe4 was simulated for λ = 1.5418 Å (Cu Kα).
Intensities are scaled so that the largest is 100.

Atomic structure:
```
7
Lattice="6.238 0.000 0.000 0.000 3.622 0.000 -0.218 0.000 6.832" Properties=species:S:1:pos:R:3 pbc="T T T"
Ti 0.000 0.000 0.000
Ti 3.119 1.811 0.000
Ag -0.109 0.000 3.416
Se 1.059 1.811 1.546
Se 1.899 0.000 5.302
Se 4.121 0.000 1.530
Se 4.961 1.811 5.286
```

Principal peaks in the range 2θ = 5–70°, in order of rising 2θ:
| two_theta | d [Å] | I (rel.) |
| --- | --- | --- |
| 14.2 | 6.235 | 29 |
| 31.2 | 2.866 | 100 |
| 31.6 | 2.830 | 44 |
| 31.9 | 2.803 | 35 |
| 38.5 | 2.340 | 48 |
| 38.7 | 2.327 | 30 |
| 39.3 | 2.290 | 80 |
| 50.4 | 1.811 | 37 |
| 50.6 | 1.803 | 55 |
| 65.1 | 1.432 | 23 |



Starting from DFT lattice parameters and positions (PBE), the X-ray powder pattern of TlAg8Se5 was simulated for λ = 1.5418 Å (Cu Kα).
Intensities are scaled so that the largest is 100.

Atomic structure:
```
14
Lattice="0.000 5.740 5.740 5.740 0.000 5.740 5.740 5.740 0.000" Properties=species:S:1:pos:R:3 pbc="T T T"
Tl 0.000 0.000 0.000
Ag 7.143 4.337 4.337
Ag 1.771 1.771 1.771
Ag 3.970 3.970 1.771
Ag 3.970 1.771 3.970
Ag 1.771 3.970 3.970
Ag 4.337 7.143 4.337
Ag 4.337 4.337 7.143
Ag 7.143 7.143 7.143
Se 4.406 4.406 4.406
Se 7.075 7.075 4.406
Se 7.075 4.406 7.075
Se 8.610 8.610 8.610
Se 4.406 7.075 7.075
```

Principal peaks in the range 2θ = 5–70°, in order of rising 2θ:
| two_theta | d [Å] | I (rel.) |
| --- | --- | --- |
| 21.9 | 4.059 | 47 |
| 25.7 | 3.461 | 61 |
| 26.9 | 3.314 | 43 |
| 31.2 | 2.870 | 56 |
| 38.4 | 2.343 | 27 |
| 40.8 | 2.209 | 64 |
| 44.7 | 2.029 | 100 |
| 52.3 | 1.751 | 20 |
| 60.3 | 1.534 | 18 |
| 69.5 | 1.353 | 17 |



Starting from DFT lattice parameters and positions (PBE), the X-ray powder pattern of TlAg2Se3 was simulated for λ = 1.5418 Å (Cu Kα).
Intensities are scaled so that the largest is 100.

Atomic structure:
```
12
Lattice="3.769 -6.512 0.000 3.769 6.512 0.000 -2.496 0.000 7.051" Properties=species:S:1:pos:R:3 pbc="T T T"
Tl 2.521 5.359 3.526
Tl 3.769 -5.359 0.000
Ag 3.784 3.265 0.087
Ag 2.607 1.062 3.622
Ag 3.856 -1.062 0.097
Ag 2.535 -3.265 3.613
Se 0.093 1.129 2.757
Se -1.156 -1.129 6.282
Se 3.859 3.153 2.693
Se 2.467 1.109 6.223
Se 3.715 -1.109 2.697
Se 2.611 -3.153 6.219
```

Principal peaks in the range 2θ = 5–70°, in order of rising 2θ:
| two_theta | d [Å] | I (rel.) |
| --- | --- | --- |
| 25.1 | 3.546 | 100 |
| 25.3 | 3.526 | 34 |
| 29.1 | 3.067 | 10 |
| 41.6 | 2.173 | 47 |
| 41.7 | 2.164 | 47 |
| 49.2 | 1.853 | 26 |
| 49.3 | 1.849 | 21 |
| 49.4 | 1.844 | 15 |
| 60.4 | 1.533 | 15 |
| 66.3 | 1.409 | 10 |



Starting from DFT lattice parameters and positions (PBE), the X-ray powder pattern of TlAgSe was simulated for λ = 1.5418 Å (Cu Kα).
Intensities are scaled so that the largest is 100.

Atomic structure:
```
6
Lattice="4.406 0.000 0.000 0.000 4.406 0.000 0.000 0.000 8.151" Properties=species:S:1:pos:R:3 pbc="T T T"
Tl 1.102 1.102 1.307
Tl 3.305 3.305 6.845
Ag 1.102 3.305 4.076
Ag 3.305 1.102 4.076
Se 1.102 1.102 5.807
Se 3.305 3.305 2.345
```

Principal peaks in the range 2θ = 5–70°, in order of rising 2θ:
| two_theta | d [Å] | I (rel.) |
| --- | --- | --- |
| 22.9 | 3.876 | 33 |
| 28.7 | 3.116 | 33 |
| 29.9 | 2.992 | 100 |
| 30.7 | 2.910 | 80 |
| 33.0 | 2.717 | 28 |
| 36.3 | 2.475 | 93 |
| 41.0 | 2.203 | 70 |
| 49.3 | 1.850 | 26 |
| 51.5 | 1.774 | 45 |
| 53.6 | 1.711 | 28 |



Starting from DFT lattice parameters and positions (PBE), the X-ray powder pattern of TlAg5Se3 was simulated for λ = 1.5418 Å (Cu Kα).
Intensities are scaled so that the largest is 100.

Atomic structure:
```
18
Lattice="2.145 -7.303 0.000 2.145 7.303 0.000 0.000 0.000 13.321" Properties=species:S:1:pos:R:3 pbc="T T T"
Tl 2.145 4.614 9.991
Tl 2.145 -4.614 3.330
Ag 0.000 0.000 0.000
Ag 0.000 0.000 6.660
Ag 2.145 4.470 0.678
Ag 2.145 4.470 5.983
Ag 2.145 0.940 8.534
Ag 2.145 0.940 11.447
Ag 2.145 -0.940 1.874
Ag 2.145 -0.940 4.786
Ag 2.145 -4.470 7.338
Ag 2.145 -4.470 12.643
Se 2.145 5.388 3.330
Se 2.145 1.735 0.880
Se 2.145 1.735 5.781
Se 2.145 -1.735 7.540
Se 2.145 -1.735 12.441
Se 2.145 -5.388 9.991
```

Principal peaks in the range 2θ = 5–70°, in order of rising 2θ:
| two_theta | d [Å] | I (rel.) |
| --- | --- | --- |
| 25.3 | 3.521 | 40 |
| 27.7 | 3.219 | 40 |
| 29.6 | 3.019 | 87 |
| 30.9 | 2.898 | 51 |
| 34.6 | 2.589 | 100 |
| 37.2 | 2.414 | 89 |
| 42.1 | 2.145 | 65 |
| 42.3 | 2.134 | 42 |
| 42.6 | 2.123 | 34 |
| 61.3 | 1.513 | 28 |



Question: What is the formula in the first record?
Answer: Ti2AgSe4



Question: Number 5 is which compound?
Answer: TlAg5Se3